Diffraction record for Sm4Y5Mg2. The XRD peak list is theoretical, not measured: it uses DFT lattice parameters and positions (PBE) and Cu Kα (λ = 1.5418 Å).

Largest 10 diffraction maxima, in order of rising 2θ, 10° ≤ 2θ ≤ 90°:
index  Position (°2θ)  d/Å  I (rel.)
0 4 1  29.9  2.989  47
3 1 0  30.0  2.977  25
3 2 0  30.9  2.893  60
1 7 0  31.0  2.883  43
1 4 1  31.5  2.837  100
2 6 0  32.1  2.791  69
2 2 1  32.9  2.725  59
2 3 1  34.2  2.620  30
1 10 1  50.8  1.798  28
3 2 2  60.5  1.531  30

Atomic structure:
Cell: 9.019 21.297 3.611 Å, 90.00 90.00 90.00°
Space group Pbam (No. 55)
One atom of each set of equivalent atoms:
Sm1 0.069 0.147 0.000
Sm2 0.217 0.424 0.000
Y1 0.000 0.000 0.500
Y2 0.128 0.565 0.500
Y3 0.246 0.781 0.500
Mg1 0.041 0.690 0.000

Diffraction record for Sm12Y2Mg. The XRD peak list is theoretical, not measured: it uses DFT lattice parameters and positions (PBE) and Cu Kα (λ = 1.5418 Å).

Largest 10 diffraction maxima, in order of rising 2θ, 10° ≤ 2θ ≤ 90°:
index  Position (°2θ)  d/Å  I (rel.)
2 0 4  28.8  3.100  18
0 2 7  29.8  3.000  34
2 2 2  30.2  2.958  100
0 4 0  31.0  2.884  76
2 2 4  32.8  2.731  39
0 2 8  33.0  2.713  68
2 2 6  36.8  2.445  54
4 0 0  50.9  1.795  22
4 4 0  60.8  1.523  30
4 2 8  62.0  1.497  22

Atomic structure:
Cell: 7.179 11.536 24.590 Å, 90.00 90.00 90.00°
Space group Cmme (No. 67)
One atom of each set of equivalent atoms:
Sm1 0.000 0.000 0.074
Sm2 0.000 0.023 0.439
Sm3 0.232 0.250 0.587
Sm4 0.249 0.250 0.126
Sm5 0.250 0.000 0.196
Sm6 0.250 0.000 0.324
Y1 0.000 0.250 0.267
Y2 0.000 0.250 0.737
Mg1 0.000 0.250 0.000

Diffraction record for Sm5Y6Mg2. The XRD peak list is theoretical, not measured: it uses DFT lattice parameters and positions (PBE) and Cu Kα (λ = 1.5418 Å).

Largest 10 diffraction maxima, in order of rising 2θ, 10° ≤ 2θ ≤ 90°:
index  Position (°2θ)  d/Å  I (rel.)
3 3 0  28.2  3.164  91
0 4 1  29.5  3.024  100
0 8 0  31.6  2.829  88
3 5 0  32.4  2.762  74
2 3 1  32.6  2.750  84
3 1 1  36.2  2.482  53
2 5 1  36.3  2.473  42
3 9 1  51.6  1.772  38
3 13 0  59.3  1.558  33
3 5 2  61.8  1.501  32

Atomic structure:
Cell: 10.458 22.632 3.578 Å, 90.00 90.00 90.00°
Space group Pbam (No. 55)
One atom of each set of equivalent atoms:
Sm1 0.000 0.000 0.000
Sm2 0.080 0.251 0.000
Sm3 0.167 0.505 0.000
Y1 0.017 0.387 0.500
Y2 0.147 0.118 0.500
Y3 0.168 0.865 0.000
Mg1 0.170 0.739 0.500

Diffraction record for Sm7Y3Mg. The XRD peak list is theoretical, not measured: it uses DFT lattice parameters and positions (PBE) and Cu Kα (λ = 1.5418 Å).

Largest 10 diffraction maxima, in order of rising 2θ, 10° ≤ 2θ ≤ 90°:
index  Position (°2θ)  d/Å  I (rel.)
0 0 1  10.2  8.662  14
1 0 1  17.7  5.008  9
0 2 1  30.9  2.891  100
2 0 2  35.9  2.504  51
2 2 0  51.6  1.771  35
4 0 1  61.4  1.510  31
2 0 5  61.5  1.509  11
0 4 2  64.4  1.446  9
2 4 1  84.3  1.149  13
4 2 2  87.0  1.120  8

Atomic structure:
Cell: 7.0871 7.0871 8.6622 Å, 90.00 90.00 120.00°
Space group P3m1 (No. 156)
One atom of each set of equivalent atoms:
Sm1 0.0000 0.0000 0.0002
Sm2 0.0008 0.5004 0.0000
Sm3 0.3282 0.1641 0.6690
Y1 0.1657 0.3314 0.3340
Mg1 0.3333 0.6667 0.6668

Diffraction record for Sm3Mg2Zn. The XRD peak list is theoretical, not measured: it uses DFT lattice parameters and positions (PBE) and Cu Kα (λ = 1.5418 Å).

Largest 10 diffraction maxima, in order of rising 2θ, 10° ≤ 2θ ≤ 90°:
index  Position (°2θ)  d/Å  I (rel.)
0 0 3  23.0  3.871  20
1 0 0  23.8  3.734  40
1 0 3  33.3  2.687  100
1 1 0  34.0  2.640  51
1 1 3  41.4  2.181  17
2 0 0  48.8  1.867  18
2 1 0  55.0  1.670  8
1 1 6  59.2  1.561  16
2 1 3  60.4  1.533  36
2 0 6  70.0  1.344  9

Atomic structure:
Cell: 3.734 3.734 11.614 Å, 90.00 90.00 90.00°
Space group P4/mmm (No. 123)
One atom of each set of equivalent atoms:
Sm1 0.000 0.000 0.000
Sm2 0.000 0.000 0.351
Mg1 0.500 0.500 0.172
Zn1 0.500 0.500 0.500

Diffraction record for Sm3Mg2Zn4. The XRD peak list is theoretical, not measured: it uses DFT lattice parameters and positions (PBE) and Cu Kα (λ = 1.5418 Å).

Largest 10 diffraction maxima, in order of rising 2θ, 10° ≤ 2θ ≤ 90°:
index  Position (°2θ)  d/Å  I (rel.)
1 0 1  22.7  3.918  47
0 1 2  28.2  3.166  15
1 0 3  35.6  2.520  80
1 1 0  36.0  2.494  100
1 1 3  46.7  1.944  17
0 2 3  51.6  1.773  28
1 0 6  63.7  1.460  15
2 1 3  64.5  1.445  28
3 0 0  64.8  1.440  17
2 1 6  86.6  1.125  14

Atomic structure:
Cell: 4.9871 4.9871 9.3095 Å, 90.00 90.00 120.00°
Space group P-3m1 (No. 164)
One atom of each set of equivalent atoms:
Sm1 0.0000 0.0000 0.0000
Sm2 0.3333 0.6667 0.5977
Mg1 0.3333 0.6667 0.2201
Zn1 0.0000 0.0000 0.3412
Zn2 0.3333 0.6667 0.9137